The following is a calculated X-ray diffraction stick pattern of YZrCd2. It was derived from a structure optimized by DFT (GGA-PBE), using Cu Kα X-rays.
Lines closer than 0.1° are merged.

Main lines, sorted by position (2θ from 10° to 90°):
2θ/deg, I/Imax, (hkl)
27.24, 18, 1 0 -1
33.21, 100, 1 1 -1
34.50, 19, 1 0 1
34.69, 18, 1 0 -2
35.33, 96, 0 1 2
37.77, 44, 0 2 0
39.49, 20, 1 1 1
39.66, 20, 1 1 -2
53.90, 15, 2 0 -1
67.69, 15, 2 2 -1

Structural model:
a b c (Å): 3.402 4.763 6.234
angles (deg): 90.00 105.52 90.00
Sites, in units of the cell vectors:
Y  0.000  0.000  0.000
Zr  0.660  0.500  0.318
Cd  0.259  0.000  0.513
Cd  0.399  0.500  0.796